Theoretical XRD peak list
Compound: Nd5In11Ni6
Radiation: Cu Kα, 1.54184 Å
Structure: a structure optimized by DFT (PBE)
Neutral-atom scattering factors, no anomalous dispersion.

a = 14.658 Å, b = 14.698 Å, c = 4.414 Å
α = 90.00°, β = 90.00°, γ = 90.00°
Space group Cmmm (No. 65)
Symmetry-distinct sites (fractional):
Nd1 0.000 0.000 0.000 x2
Nd2 0.173 0.363 0.500 x8
In1 0.000 0.195 0.500 x4
In2 0.000 0.340 0.000 x4
In3 0.000 0.500 0.500 x2
In4 0.157 0.193 0.000 x8
In5 0.225 0.000 0.000 x4
Ni1 0.094 0.500 0.000 x4
Ni2 0.138 0.083 0.500 x8

Top 8 peaks for 15° ≤ 2θ ≤ 90°, sorted by position:
31.69 deg, d 2.824, intensity 23, (0 4 1); 32.89 deg, d 2.723, intensity 100, (3 3 1); 34.03 deg, d 2.634, intensity 32, (2 4 1); 36.79 deg, d 2.443, intensity 21, (6 0 0); 37.32 deg, d 2.409, intensity 17, (5 1 1); 40.89 deg, d 2.207, intensity 35, (0 0 2); 43.57 deg, d 2.077, intensity 15, (1 7 0); 63.81 deg, d 1.459, intensity 17, (9 3 1)

Theoretical XRD peak list
Compound: Nd4In8Ni7
Radiation: Cu Kα, 1.54184 Å
Structure: a structure optimized by DFT (PBE)
Neutral-atom scattering factors, no anomalous dispersion.

a = 14.684 Å, b = 24.129 Å, c = 4.363 Å
α = 90.00°, β = 90.00°, γ = 90.00°
Space group Cmmm (No. 65)
Symmetry-distinct sites (fractional):
Nd1 0.000 0.106 0.000 x4
Nd2 0.172 0.324 0.500 x8
Nd3 0.184 0.500 0.500 x4
In1 0.000 0.000 0.500 x2
In2 0.000 0.222 0.500 x4
In3 0.000 0.311 0.000 x4
In4 0.000 0.413 0.500 x4
In5 0.000 0.500 0.000 x2
In6 0.159 0.216 0.000 x8
In7 0.225 0.094 0.000 x8
Ni1 0.097 0.405 0.000 x8
Ni2 0.122 0.000 0.000 x4
Ni3 0.138 0.154 0.500 x8
Ni4 0.145 0.054 0.500 x8

Top 8 peaks for 15° ≤ 2θ ≤ 90°, sorted by position:
30.23 deg, d 2.957, intensity 23, (0 6 1); 32.65 deg, d 2.743, intensity 33, (2 6 1); 33.19 deg, d 2.700, intensity 100, (3 5 1); 36.72 deg, d 2.447, intensity 20, (6 0 0); 41.39 deg, d 2.181, intensity 44, (0 0 2); 41.52 deg, d 2.175, intensity 15, (5 5 1); 56.49 deg, d 1.629, intensity 17, (6 0 2); 63.89 deg, d 1.457, intensity 16, (9 5 1)

Theoretical XRD peak list
Compound: NdInNi5
Radiation: Cu Kα, 1.54184 Å
Structure: a structure optimized by DFT (PBE)
Neutral-atom scattering factors, no anomalous dispersion.

a = 4.9043 Å, b = 4.9043 Å, c = 29.7332 Å
α = 90.00°, β = 90.00°, γ = 120.00°
Space group R-3m (No. 166, hexagonal axes)
Symmetry-distinct sites (fractional):
Nd1 0.0000 0.0000 0.0000 x3
Nd2 0.0000 0.0000 0.5000 x3
In1 0.0000 0.0000 0.1101 x6
Ni1 0.0000 0.0000 0.1986 x6
Ni2 0.0000 0.0000 0.3337 x6
Ni3 0.0016 0.5008 0.0681 x18

Top 8 peaks for 15° ≤ 2θ ≤ 90°, sorted by position:
32.00 deg, d 2.797, intensity 57, (0 1 8); 36.65 deg, d 2.452, intensity 100, (1 1 0); 36.90 deg, d 2.436, intensity 82, (1 0 10); 41.07 deg, d 2.198, intensity 69, (1 1 6); 42.69 deg, d 2.118, intensity 40, (0 2 1); 45.02 deg, d 2.014, intensity 31, (1 0 13); 46.10 deg, d 1.969, intensity 58, (1 1 9); 77.92 deg, d 1.226, intensity 35, (2 2 0)

Theoretical XRD peak list
Compound: NdIn3Ni
Radiation: Cu Kα, 1.54184 Å
Structure: a structure optimized by DFT (PBE)
Neutral-atom scattering factors, no anomalous dispersion.

a = 4.578 Å, b = 4.578 Å, c = 11.160 Å
α = 90.00°, β = 90.00°, γ = 90.00°
Space group I4mm (No. 107)
Symmetry-distinct sites (fractional):
Nd1 0.000 0.000 0.000 x2
In1 0.000 0.000 0.582 x2
In2 0.000 0.500 0.260 x4
Ni1 0.000 0.000 0.362 x2

Top 8 peaks for 15° ≤ 2θ ≤ 90°, sorted by position:
30.97 deg, d 2.887, intensity 27, (1 0 3); 31.96 deg, d 2.800, intensity 100, (1 1 2); 39.36 deg, d 2.289, intensity 48, (2 0 0); 45.20 deg, d 2.006, intensity 18, (1 0 5); 51.65 deg, d 1.770, intensity 13, (2 0 4); 56.89 deg, d 1.619, intensity 16, (2 2 0); 61.46 deg, d 1.509, intensity 14, (2 1 5); 66.77 deg, d 1.401, intensity 29, (3 1 2)

Theoretical XRD peak list
Compound: NdIn5NiPd
Radiation: Cu Kα, 1.54184 Å
Structure: a structure optimized by DFT (PBE)
Neutral-atom scattering factors, no anomalous dispersion.

a = 4.296 Å, b = 7.981 Å, c = 10.523 Å
α = 90.00°, β = 90.00°, γ = 90.00°
Space group Imm2 (No. 44)
Symmetry-distinct sites (fractional):
Nd1 0.000 0.000 0.000 x2
In1 0.000 0.191 0.660 x4
In2 0.000 0.203 0.355 x4
In3 0.000 0.500 0.011 x2
Ni1 0.000 0.500 0.255 x2
Pd1 0.000 0.500 0.757 x2

Top 8 peaks for 15° ≤ 2θ ≤ 90°, sorted by position:
31.76 deg, d 2.817, intensity 99, (1 2 1); 32.97 deg, d 2.717, intensity 100, (1 0 3); 39.86 deg, d 2.262, intensity 34, (1 3 0); 41.09 deg, d 2.196, intensity 55, (0 2 4); 42.07 deg, d 2.148, intensity 41, (2 0 0); 43.55 deg, d 2.078, intensity 21, (1 3 2); 60.26 deg, d 1.536, intensity 34, (2 2 4); 70.43 deg, d 1.337, intensity 24, (1 2 7)

Theoretical XRD peak list
Compound: Nd3In3NiPd2
Radiation: Cu Kα, 1.54184 Å
Structure: a structure optimized by DFT (PBE)
Neutral-atom scattering factors, no anomalous dispersion.

a = 7.7101 Å, b = 7.7101 Å, c = 4.0135 Å
α = 90.00°, β = 90.00°, γ = 120.00°
Space group P-62m (No. 189)
Symmetry-distinct sites (fractional):
Nd1 0.0000 0.5908 0.0000 x3
In1 0.0000 0.2433 0.5000 x3
Ni1 0.0000 0.0000 0.0000 x1
Pd1 0.3333 0.6667 0.5000 x2

Top 8 peaks for 15° ≤ 2θ ≤ 90°, sorted by position:
32.20 deg, d 2.780, intensity 100, (1 1 1); 34.96 deg, d 2.567, intensity 79, (2 0 1); 35.57 deg, d 2.524, intensity 58, (2 1 0); 40.53 deg, d 2.226, intensity 26, (3 0 0); 42.30 deg, d 2.136, intensity 21, (2 1 1); 45.18 deg, d 2.007, intensity 23, (0 0 2); 58.79 deg, d 1.571, intensity 26, (2 1 2); 65.19 deg, d 1.431, intensity 25, (3 2 1)

Theoretical XRD peak list
Compound: Nd2In2NiPt3
Radiation: Cu Kα, 1.54184 Å
Structure: a structure optimized by DFT (PBE)
Neutral-atom scattering factors, no anomalous dispersion.

a = 4.6019 Å, b = 4.6019 Å, c = 9.1670 Å
α = 90.00°, β = 90.00°, γ = 120.00°
Space group P3m1 (No. 156)
Symmetry-distinct sites (fractional):
Nd1 0.0000 0.0000 0.0000 x1
Nd2 0.3333 0.6667 0.5050 x1
In1 0.6667 0.3333 0.2542 x1
In2 0.6667 0.3333 0.7453 x1
Ni1 0.0000 0.0000 0.6714 x1
Pt1 0.0000 0.0000 0.3523 x1
Pt2 0.3333 0.6667 0.1635 x1
Pt3 0.3333 0.6667 0.8315 x1

Top 8 peaks for 15° ≤ 2θ ≤ 90°, sorted by position:
22.31 deg, d 3.985, intensity 18, (1 0 0); 29.71 deg, d 3.007, intensity 23, (0 1 2); 37.07 deg, d 2.425, intensity 100, (0 1 3); 39.15 deg, d 2.301, intensity 91, (1 1 0); 55.02 deg, d 1.669, intensity 32, (2 0 3); 65.42 deg, d 1.427, intensity 14, (1 0 6); 69.58 deg, d 1.351, intensity 32, (1 2 3); 70.95 deg, d 1.328, intensity 16, (3 0 0)

Theoretical XRD peak list
Compound: NdSm2In2Ni4
Radiation: Cu Kα, 1.54184 Å
Structure: a structure optimized by DFT (PBE)
Neutral-atom scattering factors, no anomalous dispersion.

a = 9.922 Å, b = 4.338 Å, c = 8.575 Å
α = 90.00°, β = 95.52°, γ = 90.00°
Space group C2/m (No. 12)
Symmetry-distinct sites (fractional):
Nd1 0.000 0.000 0.000 x2
Sm1 0.129 0.500 0.384 x4
In1 0.176 0.500 0.778 x4
Ni1 0.075 0.000 0.620 x4
Ni2 0.229 0.500 0.082 x4

Top 8 peaks for 15° ≤ 2θ ≤ 90°, sorted by position:
28.94 deg, d 3.085, intensity 33, (2 0 2); 30.14 deg, d 2.965, intensity 63, (1 1 -2); 34.19 deg, d 2.623, intensity 100, (3 1 0); 34.84 deg, d 2.575, intensity 39, (2 0 -3); 36.91 deg, d 2.435, intensity 29, (4 0 -1); 38.91 deg, d 2.314, intensity 36, (4 0 1); 39.67 deg, d 2.272, intensity 69, (1 1 3); 41.63 deg, d 2.169, intensity 56, (0 2 0)

Theoretical XRD peak list
Compound: TbNdInNi2
Radiation: Cu Kα, 1.54184 Å
Structure: a structure optimized by DFT (PBE)
Neutral-atom scattering factors, no anomalous dispersion.

a = 3.741 Å, b = 3.970 Å, c = 14.500 Å
α = 90.00°, β = 90.00°, γ = 90.00°
Space group Amm2 (No. 38)
Symmetry-distinct sites (fractional):
Tb1 0.000 0.000 0.000 x2
Nd1 0.000 0.000 0.725 x2
In1 0.500 0.000 0.366 x2
Ni1 0.500 0.000 0.158 x2
Ni2 0.500 0.000 0.560 x2

Top 8 peaks for 15° ≤ 2θ ≤ 90°, sorted by position:
29.11 deg, d 3.068, intensity 42, (0 1 3); 33.49 deg, d 2.676, intensity 100, (1 1 1); 34.45 deg, d 2.603, intensity 74, (1 0 4); 37.93 deg, d 2.372, intensity 34, (1 1 3); 38.44 deg, d 2.342, intensity 36, (0 1 5); 45.70 deg, d 1.985, intensity 31, (0 2 0); 48.68 deg, d 1.870, intensity 21, (2 0 0); 58.47 deg, d 1.579, intensity 32, (1 2 4)

Theoretical XRD peak list
Compound: NdInO3
Radiation: Cu Kα, 1.54184 Å
Structure: a structure optimized by DFT (PBE)
Neutral-atom scattering factors, no anomalous dispersion.

a = 5.959 Å, b = 8.161 Å, c = 5.630 Å
α = 90.00°, β = 90.00°, γ = 90.00°
Space group Pnma (No. 62)
Symmetry-distinct sites (fractional):
Nd1 0.065 0.250 0.019 x4
In1 0.000 0.000 0.500 x4
O1 0.053 0.750 0.374 x4
O2 0.192 0.564 0.812 x8

Top 8 peaks for 15° ≤ 2θ ≤ 90°, sorted by position:
29.99 deg, d 2.980, intensity 21, (2 0 0); 30.95 deg, d 2.889, intensity 100, (1 2 1); 31.79 deg, d 2.815, intensity 23, (0 0 2); 44.27 deg, d 2.046, intensity 18, (2 0 2); 44.40 deg, d 2.040, intensity 13, (0 4 0); 49.95 deg, d 1.826, intensity 11, (3 1 1); 55.64 deg, d 1.652, intensity 11, (0 4 2); 56.11 deg, d 1.639, intensity 22, (1 2 3)

Theoretical XRD peak list
Compound: Nd3In2P4
Radiation: Cu Kα, 1.54184 Å
Structure: a structure optimized by DFT (PBE)
Neutral-atom scattering factors, no anomalous dispersion.

a = 6.100 Å, b = 17.332 Å, c = 4.197 Å
α = 90.00°, β = 90.00°, γ = 90.00°
Space group Pnnm (No. 58)
Symmetry-distinct sites (fractional):
Nd1 0.000 0.000 0.000 x2
Nd2 0.211 0.302 0.500 x4
In1 0.161 0.589 0.000 x4
P1 0.209 0.177 0.000 x4
P2 0.235 0.912 0.500 x4

Top 8 peaks for 15° ≤ 2θ ≤ 90°, sorted by position:
21.18 deg, d 4.195, intensity 22, (1 3 0); 25.21 deg, d 3.532, intensity 36, (1 4 0); 26.28 deg, d 3.391, intensity 57, (1 1 1); 27.78 deg, d 3.211, intensity 33, (1 2 1); 33.53 deg, d 2.673, intensity 100, (0 5 1); 37.92 deg, d 2.373, intensity 23, (2 2 1); 39.72 deg, d 2.269, intensity 33, (2 3 1); 43.11 deg, d 2.098, intensity 29, (0 0 2)

Theoretical XRD peak list
Compound: Nd4In21Pd10
Radiation: Cu Kα, 1.54184 Å
Structure: a structure optimized by DFT (PBE)
Neutral-atom scattering factors, no anomalous dispersion.

a = 23.364 Å, b = 4.541 Å, c = 17.364 Å
α = 90.00°, β = 124.51°, γ = 90.00°
Space group C2/m (No. 12)
Symmetry-distinct sites (fractional):
Nd1 0.123 0.000 0.332 x4
Nd2 0.230 0.000 0.826 x4
In1 0.000 0.500 0.500 x2
In2 0.010 0.000 0.093 x4
In3 0.043 0.500 0.368 x4
In4 0.065 0.000 0.798 x4
In5 0.101 0.500 0.997 x4
In6 0.116 0.000 0.552 x4
In7 0.116 0.500 0.705 x4
In8 0.130 0.500 0.199 x4
In9 0.201 0.500 0.500 x4
In10 0.202 0.000 0.005 x4
In11 0.249 0.500 0.706 x4
Pd1 0.006 0.500 0.187 x4
Pd2 0.025 0.000 0.611 x4
Pd3 0.137 0.000 0.107 x4
Pd4 0.154 0.500 0.888 x4
Pd5 0.249 0.500 0.385 x4

Top 8 peaks for 15° ≤ 2θ ≤ 90°, sorted by position:
32.94 deg, d 2.719, intensity 52, (5 1 -5); 33.70 deg, d 2.659, intensity 74, (5 1 1); 33.86 deg, d 2.648, intensity 41, (7 1 -2); 33.98 deg, d 2.638, intensity 39, (7 1 -4); 34.24 deg, d 2.619, intensity 70, (1 1 4); 39.70 deg, d 2.270, intensity 100, (0 2 0); 40.58 deg, d 2.223, intensity 37, (1 1 -6); 42.51 deg, d 2.127, intensity 52, (9 1 -6)